Simulated powder diffraction line list
Compound: AlCr3O6
Radiation: Cu Kα (weighted mean of Kα1 and Kα2)
Structure: a DFT-relaxed cell (GGA+U, Alexandria)

Principal peaks in the range 2θ from 15° to 90°, in order of rising 2θ:
two_theta  d_spacing  Rel. int.  index
18.4  4.819  97  0 0 3
35.7  2.517  100  1 0 5
37.3  2.410  13  0 0 6
43.4  2.087  74  2 0 4
47.5  1.915  12  1 2 1
57.3  1.607  23  2 1 5
62.9  1.477  30  0 2 8
63.0  1.474  31  2 2 0

```
AlCr3O6
1.0
5.898 0.000 0.000
-2.949 5.108 0.000
0.000 0.000 14.479
Al Cr O
4 12 24
Direct
0.000 0.000 0.128
0.000 0.000 0.872
0.333 0.667 0.455
0.667 0.333 0.545
0.000 0.000 0.500
0.000 0.500 0.000
0.170 0.340 0.667
0.170 0.830 0.667
0.333 0.667 0.828
0.340 0.170 0.333
0.500 0.000 0.000
0.500 0.500 0.000
0.660 0.830 0.667
0.667 0.333 0.172
0.830 0.170 0.333
0.830 0.660 0.333
0.000 0.000 0.256
0.000 0.000 0.744
0.037 0.518 0.741
0.162 0.324 0.418
0.162 0.838 0.418
0.169 0.337 0.915
0.169 0.831 0.915
0.324 0.162 0.582
0.333 0.667 0.064
0.333 0.667 0.581
0.337 0.169 0.085
0.482 0.518 0.741
0.482 0.963 0.741
0.518 0.037 0.259
0.518 0.482 0.259
0.663 0.831 0.915
0.667 0.333 0.419
0.667 0.333 0.936
0.676 0.838 0.418
0.831 0.169 0.085
0.831 0.663 0.085
0.838 0.162 0.582
0.838 0.676 0.582
0.963 0.482 0.259
```